For PmZnCu2, the GGA-PBE geometry in the Materials Project gives the computed powder diffraction line list in this record (a wavelength of 1.5418 Å).
Intensities are scaled so that the largest is 100.

Crystal structure
```
PmZnCu2
1.0
6.5264 0.0000 0.0000
0.0000 6.5264 0.0000
0.0000 0.0000 6.5264
Pm Zn Cu
4 4 8
Cartesian
0.0000 0.0000 0.0000
0.0000 3.2632 3.2632
3.2632 0.0000 3.2632
3.2632 3.2632 0.0000
0.0000 0.0000 3.2632
0.0000 3.2632 0.0000
3.2632 0.0000 0.0000
3.2632 3.2632 3.2632
1.6316 1.6316 1.6316
1.6316 1.6316 4.8948
1.6316 4.8948 1.6316
1.6316 4.8948 4.8948
4.8948 1.6316 1.6316
4.8948 1.6316 4.8948
4.8948 4.8948 1.6316
4.8948 4.8948 4.8948
```

Principal peaks in the range 10° ≤ 2θ ≤ 90°, by angle:
| d_spacing | intensity |
| --- | --- |
| 3.768 | 10.9 |
| 3.263 | 6.3 |
| 2.307 | 100.0 |
| 1.968 | 5.7 |
| 1.632 | 16.5 |
| 1.459 | 2.6 |
| 1.332 | 32.4 |
| 1.154 | 10.1 |



For PrCu, the GGA-PBE geometry in the Materials Project gives the computed powder diffraction line list in this record (a wavelength of 1.5418 Å).
Intensities are scaled so that the largest is 100.

Crystal structure
```
PrCu
1.0
7.0965 0.0000 0.0000
0.0000 4.4403 0.0000
0.0000 0.0000 6.1428
Pr Cu
4 4
Cartesian
1.2259 1.1101 0.8678
2.3223 3.3302 3.9393
4.7742 1.1101 2.2036
5.8706 3.3302 5.2750
0.2586 1.1101 3.7539
3.2897 3.3302 0.6825
3.8068 1.1101 5.4603
6.8379 3.3302 2.3889
```

Principal peaks in the range 10° ≤ 2θ ≤ 90°, by angle:
| d_spacing | intensity |
| --- | --- |
| 3.210 | 59.0 |
| 2.819 | 89.1 |
| 2.772 | 97.1 |
| 2.527 | 71.8 |
| 2.380 | 100.0 |
| 2.220 | 52.7 |
| 1.799 | 39.9 |
| 1.744 | 42.9 |



For PrCu5, the GGA-PBE geometry in the Materials Project gives the computed powder diffraction line list in this record (a wavelength of 1.5418 Å).
Intensities are scaled so that the largest is 100.

Crystal structure
```
PrCu5
1.0
5.1351 0.0000 0.0000
-2.5676 4.4471 0.0000
0.0000 0.0000 4.1026
Pr Cu
1 5
Cartesian
0.0000 0.0000 0.0000
-1.2838 2.2236 2.0513
0.0000 2.9648 0.0000
2.5676 0.0000 2.0513
1.2838 2.2236 2.0513
2.5676 1.4824 0.0000
```

Principal peaks in the range 10° ≤ 2θ ≤ 90°, by angle:
| d_spacing | intensity |
| --- | --- |
| 3.015 | 41.2 |
| 2.568 | 29.6 |
| 2.224 | 34.3 |
| 2.176 | 100.0 |
| 2.051 | 27.0 |
| 1.508 | 19.2 |
| 1.394 | 22.4 |
| 1.284 | 16.1 |



For Pr3Cu, the GGA-PBE geometry in the Materials Project gives the computed powder diffraction line list in this record (a wavelength of 1.5418 Å).
Intensities are scaled so that the largest is 100.

Crystal structure
```
Pr3Cu
1.0
4.7277 0.0000 0.0000
0.0000 4.7277 0.0000
0.0000 0.0000 10.1987
Pr Cu
6 2
Cartesian
0.0000 0.0000 0.0000
0.0000 2.3638 2.5497
0.0000 2.3638 7.6490
2.3638 0.0000 2.5497
2.3638 0.0000 7.6490
2.3638 2.3638 5.0993
0.0000 0.0000 5.0993
2.3638 2.3638 0.0000
```

Principal peaks in the range 10° ≤ 2θ ≤ 90°, by angle:
| d_spacing | intensity |
| --- | --- |
| 2.796 | 100.0 |
| 2.550 | 19.4 |
| 2.364 | 31.2 |
| 1.733 | 24.1 |
| 1.515 | 15.3 |
| 1.435 | 25.5 |
| 1.398 | 11.6 |
| 1.122 | 17.5 |